# 1
Computed powder XRD pattern of Rb2CaTiO4 for copper Kα, from the PBE geometry in Alexandria.
No peak broadening, texture or thermal motion is included.

Atomic structure:
```
data_Rb2CaTiO4
_space_group_name_H-M_alt 'F d d d'
_space_group_IT_number 70
_cell_length_a 5.794
_cell_length_b 12.561
_cell_length_c 22.053
_cell_angle_alpha 90.00
_cell_angle_beta 90.00
_cell_angle_gamma 90.00
loop_
_space_group_symop_operation_xyz
'x,y,z'
'-x,-y,-z'
'-x+1/4,-y+1/4,z'
'x+1/4,y+1/4,-z'
'x,-y+1/4,-z+1/4'
'-x,y+1/4,z+1/4'
'-x+1/4,y,-z+1/4'
'x+1/4,-y,z+1/4'
'x,y+1/2,z+1/2'
'-x,-y+1/2,-z+1/2'
'-x+1/4,-y+3/4,z+1/2'
'x+1/4,y+3/4,-z+1/2'
'x,-y+3/4,-z+3/4'
'-x,y+3/4,z+3/4'
'-x+1/4,y+1/2,-z+3/4'
'x+1/4,-y+1/2,z+3/4'
'x+1/2,y,z+1/2'
'-x+1/2,-y,-z+1/2'
'-x+3/4,-y+1/4,z+1/2'
'x+3/4,y+1/4,-z+1/2'
'x+1/2,-y+1/4,-z+3/4'
'-x+1/2,y+1/4,z+3/4'
'-x+3/4,y,-z+3/4'
'x+3/4,-y,z+3/4'
'x+1/2,y+1/2,z'
'-x+1/2,-y+1/2,-z'
'-x+3/4,-y+3/4,z'
'x+3/4,y+3/4,-z'
'x+1/2,-y+3/4,-z+1/4'
'-x+1/2,y+3/4,z+1/4'
'-x+3/4,y+1/2,-z+1/4'
'x+3/4,-y+1/2,z+1/4'
loop_
_atom_site_label
_atom_site_type_symbol
_atom_site_fract_x
_atom_site_fract_y
_atom_site_fract_z
_atom_site_occupancy
Rb1 Rb 0.125 0.125 0.311 1
Ca1 Ca 0.125 0.125 0.125 1
Ti1 Ti 0.125 0.125 0.625 1
O1 O 0.082 0.289 0.834 1
```

Most intense lines, 15 to 90 degrees two-theta, low angle first:
2theta  d [Å]  I_rel  hkl
16.08  5.513  63  0 0 4
20.76  4.278  100  1 1 3
28.13  3.172  96  0 2 6
28.42  3.140  49  0 4 0
28.98  3.081  84  1 3 3
33.31  2.690  59  1 3 5
34.08  2.631  66  2 2 0
49.47  1.842  37  2 4 6

# 2
Computed powder XRD pattern of CaReO5 for copper Kα, from the PBE geometry in Alexandria.
No peak broadening, texture or thermal motion is included.

Atomic structure:
```
data_CaReO5
_space_group_name_H-M_alt 'C 1 2/c 1'
_space_group_IT_number 15
_cell_length_a 8.775
_cell_length_b 9.058
_cell_length_c 8.912
_cell_angle_alpha 90.00
_cell_angle_beta 119.26
_cell_angle_gamma 90.00
loop_
_space_group_symop_operation_xyz
'x,y,z'
'-x,-y,-z'
'-x,y,-z+1/2'
'x,-y,z+1/2'
'x+1/2,y+1/2,z'
'-x+1/2,-y+1/2,-z'
'-x+1/2,y+1/2,-z+1/2'
'x+1/2,-y+1/2,z+1/2'
loop_
_atom_site_label
_atom_site_type_symbol
_atom_site_fract_x
_atom_site_fract_y
_atom_site_fract_z
_atom_site_occupancy
Ca1 Ca 0.000 0.000 0.000 1
Re1 Re 0.000 0.368 0.250 1
O1 O 0.000 0.059 0.750 1
O2 O 0.003 0.256 0.411 1
O3 O 0.188 0.479 0.338 1
```

Most intense lines, 15 to 90 degrees two-theta, low angle first:
2theta  d [Å]  I_rel  hkl
15.18  5.837  100  1 1 -1
22.21  4.002  81  1 1 -2
22.72  3.913  57  0 2 1
23.26  3.824  57  2 0 0
28.32  3.151  30  2 2 -1
31.86  2.808  25  1 3 0
46.62  1.948  24  2 4 -2
47.51  1.914  20  4 0 0